Computed X-ray powder pattern of YThB8Rh8 for Cu Kα X-rays, from the GGA-PBE geometry in Alexandria.

Crystal structure
```
YThB8Rh8
1.0
5.3607 0.0000 0.0000
0.0000 5.3607 0.0000
0.0000 0.0000 7.5443
Y Th B Rh
1 1 8 8
direct
0.0000 0.0000 0.0000 Y
0.5000 0.5000 0.5000 Th
0.0000 0.3330 0.3493 B
0.0000 0.6670 0.3493 B
0.1683 0.5000 0.8507 B
0.3330 0.0000 0.6507 B
0.5000 0.1683 0.1493 B
0.5000 0.8317 0.1493 B
0.6670 0.0000 0.6507 B
0.8317 0.5000 0.8507 B
0.0000 0.2495 0.6474 Rh
0.0000 0.7505 0.6474 Rh
0.2495 0.0000 0.3526 Rh
0.2498 0.5000 0.1435 Rh
0.5000 0.2498 0.8565 Rh
0.5000 0.7502 0.8565 Rh
0.7505 0.0000 0.3526 Rh
0.7502 0.5000 0.1435 Rh
```

Principal peaks in the range 10 to 90 degrees two-theta, most intense first:
- hkl 2 1 1, 2θ = 39.44°, I = 100
- hkl 2 0 1, 2θ = 35.54°, I = 80
- hkl 1 0 3, 2θ = 39.58°, I = 73
- hkl 1 0 2, 2θ = 28.94°, I = 50
- hkl 2 1 2, 2θ = 44.79°, I = 36
- hkl 2 0 0, 2θ = 33.49°, I = 36
- hkl 2 2 4, 2θ = 70.43°, I = 29
- hkl 2 2 2, 2θ = 54.14°, I = 23
- hkl 3 2 1, 2θ = 63.81°, I = 22
- hkl 1 1 0, 2θ = 23.47°, I = 21
- hkl 3 0 3, 2θ = 63.91°, I = 19
- hkl 4 0 0, 2θ = 70.23°, I = 18